# 1
NaNd2VO6: theoretical powder diffraction line list (λ = 1.5418 Å (Cu Kα)), based on DFT lattice parameters and positions (PBE+U).

Structure:
a = 5.503 Å, b = 5.910 Å, c = 9.566 Å
α = 90.00°, β = 124.19°, γ = 90.00°
Space group P2_1/c (No. 14)
Unique sites:
Na 0.000 0.000 0.000
Nd 0.226 0.071 0.746
V 0.500 0.000 0.500
O 0.167 0.169 0.451
O 0.270 0.725 0.432
O 0.390 0.048 0.275

Principal peaks in the range 2θ = 5–70°, in order of rising 2θ:
2θ/deg  d (Å)  Rel. int.  h k l
22.07  4.027  70  1 1 -1
22.47  3.956  47  0 0 2
30.25  2.955  33  0 2 0
31.51  2.839  100  1 1 1
31.90  2.806  98  1 1 -3
32.34  2.768  37  0 2 1
32.55  2.751  48  2 0 -2
45.02  2.014  32  2 2 -2
57.20  1.611  31  3 1 -1
57.89  1.593  41  2 0 -6

# 2
Na5NdW4O16: theoretical powder diffraction line list (λ = 1.5418 Å (Cu Kα)), based on DFT lattice parameters and positions (PBE+U).

Structure:
a = 11.785 Å, b = 11.785 Å, c = 11.541 Å
α = 90.00°, β = 90.00°, γ = 90.00°
Space group I4_1/a (No. 88, origin choice 2)
Unique sites:
Na 0.000 0.250 0.125
Na 0.121 0.455 0.842
Nd 0.000 0.250 0.625
W 0.095 0.433 0.360
O 0.027 0.101 0.271
O 0.061 0.135 0.793
O 0.083 0.069 0.561
O 0.183 0.033 0.984

Principal peaks in the range 2θ = 5–70°, in order of rising 2θ:
2θ/deg  d (Å)  Rel. int.  h k l
10.73  8.246  32  1 0 1
18.51  4.794  62  1 2 1
23.93  3.719  18  3 0 1
28.51  3.131  100  3 1 2
28.73  3.107  19  1 2 3
30.99  2.885  13  0 0 4
34.02  2.635  21  2 4 0
46.68  1.946  26  2 4 4
53.62  1.709  12  3 1 6
57.56  1.601  24  1 7 2